For Tb4ScHg, a crystal structure in Alexandria, relaxed with PBE gives the computed XRD peak list in this record (Cu Kα X-rays).
Kinematic intensities with the Lorentz-polarization factor, no thermal factor.

Peak list (10 most intense, 5 to 70 degrees two-theta, in order of rising 2θ)
(0 0 1), 2θ 6.46, intensity 37.3
(1 0 3), 2θ 31.93, intensity 100.0
(1 1 0), 2θ 35.75, intensity 38.5
(1 0 4), 2θ 36.43, intensity 9.8
(0 0 6), 2θ 39.49, intensity 12.5
(2 0 0), 2θ 51.46, intensity 13.6
(1 1 6), 2θ 54.32, intensity 19.8
(2 1 3), 2θ 61.85, intensity 30.2
(2 0 6), 2θ 66.75, intensity 10.7
(1 0 9), 2θ 66.91, intensity 8.7

Structural model:
```
6
Lattice="3.5515 0.0000 0.0000 0.0000 3.5515 0.0000 0.0000 0.0000 13.6911" Properties=species:S:1:pos:R:3 pbc="T T T"
Tb 0.0000 0.0000 2.0427
Tb 0.0000 0.0000 11.6484
Tb 1.7758 1.7758 4.5578
Tb 1.7758 1.7758 9.1333
Sc 0.0000 0.0000 6.8455
Hg 1.7758 1.7758 0.0000
```